[1]
Calculated PXRD pattern
Compound: CsAlH4O2F4
Radiation: CuKα
Structure: a structure optimized by DFT (GGA-PBE)
Intensities are scaled so that the largest is 100.

Most intense lines, 2θ from 10° to 90°, by angle:
| 2theta | d/Å | I/Imax |
| --- | --- | --- |
| 16.50 | 5.373 | 23 |
| 20.37 | 4.360 | 77 |
| 22.66 | 3.925 | 100 |
| 26.12 | 3.411 | 35 |
| 26.87 | 3.318 | 68 |
| 32.17 | 2.782 | 38 |
| 33.35 | 2.687 | 28 |
| 33.51 | 2.674 | 41 |
| 34.04 | 2.634 | 46 |
| 37.45 | 2.401 | 26 |
| 38.37 | 2.346 | 28 |
| 42.59 | 2.123 | 21 |

Crystal structure
```
CsAlH4O2F4
1.0
5.761 -3.411 0.000
5.761 3.411 0.000
-4.991 0.000 7.564
Cs Al H O F
2 2 8 4 8
Cartesian
2.018 1.905 5.673 Cs
4.513 -1.905 1.891 Cs
2.881 1.706 0.000 Al
0.385 -1.706 3.782 Al
3.463 1.552 2.528 H
2.117 0.646 2.322 H
5.564 1.552 1.254 H
-0.378 -0.646 6.104 H
6.909 0.646 1.459 H
0.967 -1.552 6.310 H
4.414 -0.646 5.241 H
3.068 -1.552 5.036 H
2.881 1.090 1.853 O
6.146 1.090 1.929 O
0.385 -1.090 5.635 O
3.650 -1.090 5.711 O
4.596 2.247 0.231 F
4.431 2.247 3.551 F
-1.517 0.054 7.030 F
0.978 -0.054 3.248 F
5.553 0.054 4.315 F
8.049 -0.054 0.533 F
2.100 -2.247 4.013 F
1.936 -2.247 7.333 F
```

***

[2]
Calculated PXRD pattern
Compound: Cs2AlHgF6
Radiation: CuKα
Structure: a structure optimized by DFT (GGA-PBE)
Intensities are scaled so that the largest is 100.

Most intense lines, 2θ from 10° to 90°, by angle:
| 2theta | d/Å | I/Imax |
| --- | --- | --- |
| 16.91 | 5.243 | 18 |
| 27.79 | 3.211 | 100 |
| 32.71 | 2.738 | 20 |
| 39.70 | 2.270 | 31 |
| 43.44 | 2.083 | 14 |
| 49.15 | 1.854 | 38 |
| 52.35 | 1.748 | 6 |
| 57.40 | 1.605 | 19 |
| 60.30 | 1.535 | 6 |
| 64.95 | 1.436 | 21 |
| 72.05 | 1.311 | 6 |
| 78.88 | 1.213 | 23 |

Crystal structure
```
Cs2AlHgF6
1.0
0.000 4.540 4.540
4.540 0.000 4.540
4.540 4.540 0.000
Cs Al Hg F
2 1 1 6
Cartesian
2.270 2.270 2.270 Cs
6.811 6.811 6.811 Cs
0.000 0.000 0.000 Al
4.540 4.540 4.540 Hg
4.540 4.540 1.853 F
4.540 1.853 4.540 F
7.227 4.540 4.540 F
1.853 4.540 4.540 F
4.540 7.227 4.540 F
4.540 4.540 7.227 F
```

***

[3]
Calculated PXRD pattern
Compound: Cs2AlInF6
Radiation: CuKα
Structure: a structure optimized by DFT (GGA-PBE)
Intensities are scaled so that the largest is 100.

Most intense lines, 2θ from 10° to 90°, by angle:
| 2theta | d/Å | I/Imax |
| --- | --- | --- |
| 16.75 | 5.292 | 4 |
| 19.37 | 4.583 | 3 |
| 27.53 | 3.241 | 100 |
| 32.40 | 2.764 | 9 |
| 33.88 | 2.646 | 12 |
| 39.32 | 2.291 | 33 |
| 43.02 | 2.103 | 8 |
| 48.67 | 1.871 | 36 |
| 56.82 | 1.620 | 19 |
| 64.28 | 1.449 | 21 |
| 71.29 | 1.323 | 6 |
| 78.02 | 1.225 | 22 |

Crystal structure
```
Cs2AlInF6
1.0
0.000 4.583 4.583
4.583 0.000 4.583
4.583 4.583 0.000
Cs Al In F
2 1 1 6
Cartesian
2.291 2.291 2.291 Cs
6.874 6.874 6.874 Cs
0.000 0.000 0.000 Al
4.583 4.583 4.583 In
4.583 4.583 1.853 F
4.583 1.853 4.583 F
7.313 4.583 4.583 F
1.853 4.583 4.583 F
4.583 7.313 4.583 F
4.583 4.583 7.313 F
```

***

[4]
Calculated PXRD pattern
Compound: CsK2AlF6
Radiation: CuKα
Structure: a structure optimized by DFT (GGA-PBE)
Intensities are scaled so that the largest is 100.

Most intense lines, 2θ from 10° to 90°, by angle:
| 2theta | d/Å | I/Imax |
| --- | --- | --- |
| 16.65 | 5.325 | 17 |
| 19.25 | 4.612 | 39 |
| 27.35 | 3.261 | 100 |
| 32.19 | 2.781 | 34 |
| 39.07 | 2.306 | 43 |
| 42.73 | 2.116 | 29 |
| 43.90 | 2.062 | 11 |
| 48.35 | 1.883 | 30 |
| 51.49 | 1.775 | 10 |
| 56.44 | 1.630 | 23 |
| 63.83 | 1.458 | 23 |
| 77.44 | 1.232 | 22 |

Crystal structure
```
CsK2AlF6
1.0
0.000 4.612 4.612
4.612 0.000 4.612
4.612 4.612 0.000
Cs K Al F
1 2 1 6
Cartesian
0.000 0.000 0.000 Cs
2.306 2.306 2.306 K
6.917 6.917 6.917 K
4.612 4.612 4.612 Al
4.612 4.612 2.774 F
4.612 2.774 4.612 F
6.449 4.612 4.612 F
2.774 4.612 4.612 F
4.612 6.449 4.612 F
4.612 4.612 6.449 F
```

***

[5]
Calculated PXRD pattern
Compound: Cs2LiAlF6
Radiation: CuKα
Structure: a structure optimized by DFT (GGA-PBE)
Intensities are scaled so that the largest is 100.

Most intense lines, 2θ from 10° to 90°, by angle:
| 2theta | d/Å | I/Imax |
| --- | --- | --- |
| 23.88 | 3.726 | 100 |
| 28.34 | 3.149 | 53 |
| 32.84 | 2.727 | 11 |
| 35.17 | 2.552 | 15 |
| 37.39 | 2.405 | 67 |
| 38.97 | 2.311 | 11 |
| 45.77 | 1.982 | 15 |
| 47.57 | 1.911 | 22 |
| 48.88 | 1.863 | 13 |
| 57.47 | 1.604 | 16 |
| 58.63 | 1.574 | 11 |
| 64.22 | 1.450 | 17 |

Crystal structure
```
Cs2LiAlF6
1.0
6.298 0.000 0.000
-3.149 5.454 0.000
0.000 0.000 5.103
Cs Li Al F
2 1 1 6
Cartesian
0.000 3.636 1.167 Cs
3.149 1.818 3.936 Cs
0.000 0.000 0.000 Li
0.000 0.000 2.552 Al
0.000 1.463 3.665 F
-1.882 4.722 3.665 F
1.267 0.732 1.439 F
1.882 4.722 3.665 F
5.031 0.732 1.439 F
3.149 3.991 1.439 F
```

***

[6]
Calculated PXRD pattern
Compound: CsMgAlF6
Radiation: CuKα
Structure: a structure optimized by DFT (GGA-PBE)
Intensities are scaled so that the largest is 100.

Most intense lines, 2θ from 10° to 90°, by angle:
| 2theta | d/Å | I/Imax |
| --- | --- | --- |
| 24.40 | 3.649 | 31 |
| 24.65 | 3.611 | 100 |
| 24.83 | 3.586 | 20 |
| 28.82 | 3.098 | 72 |
| 29.02 | 3.076 | 81 |
| 29.09 | 3.069 | 94 |
| 35.09 | 2.558 | 39 |
| 38.30 | 2.350 | 26 |
| 38.52 | 2.337 | 29 |
| 45.89 | 1.977 | 34 |
| 46.44 | 1.956 | 25 |
| 50.55 | 1.806 | 54 |

Crystal structure
```
CsMgAlF6
1.0
-3.586 3.649 5.099
3.586 -3.649 5.099
3.586 3.649 -5.099
Cs Mg Al F
2 2 2 12
Cartesian
0.000 1.824 1.303 Cs
3.586 1.824 3.796 Cs
3.586 0.000 0.000 Mg
0.000 0.000 5.099 Mg
1.793 1.824 -2.549 Al
1.793 -1.824 2.549 Al
3.586 -1.824 3.093 F
2.137 -0.534 1.319 F
5.035 -0.534 1.319 F
2.137 3.115 -1.319 F
1.449 -0.534 3.780 F
3.586 1.824 0.767 F
0.000 1.824 4.332 F
2.137 4.183 1.319 F
1.449 0.534 6.418 F
-1.449 4.183 3.780 F
1.449 4.183 3.780 F
0.000 5.473 2.006 F
```

***

[7]
Calculated PXRD pattern
Compound: Cs2NaAlF6
Radiation: CuKα
Structure: a structure optimized by DFT (GGA-PBE)
Intensities are scaled so that the largest is 100.

Most intense lines, 2θ from 10° to 90°, by angle:
| 2theta | d/Å | I/Imax |
| --- | --- | --- |
| 21.94 | 4.052 | 49 |
| 26.27 | 3.392 | 74 |
| 28.44 | 3.138 | 100 |
| 28.67 | 3.114 | 30 |
| 33.51 | 2.674 | 17 |
| 35.45 | 2.532 | 18 |
| 36.20 | 2.481 | 40 |
| 39.11 | 2.303 | 62 |
| 49.05 | 1.857 | 19 |
| 50.36 | 1.812 | 18 |
| 58.85 | 1.569 | 22 |
| 65.55 | 1.424 | 15 |

Crystal structure
```
Cs2NaAlF6
1.0
3.138 1.812 10.130
-3.138 1.812 10.130
0.000 -3.624 10.130
Cs Na Al F
4 2 2 12
Cartesian
0.000 0.000 3.894 Cs
0.000 0.000 8.525 Cs
0.000 0.000 21.864 Cs
0.000 0.000 26.495 Cs
0.000 0.000 12.220 Na
0.000 0.000 18.170 Na
0.000 0.000 0.000 Al
0.000 0.000 15.195 Al
0.000 -2.096 11.187 F
-1.816 1.048 11.187 F
-1.284 -0.741 14.095 F
-1.816 -1.048 19.202 F
0.000 -1.482 16.294 F
-1.284 0.741 16.294 F
1.284 -0.741 14.095 F
0.000 1.482 14.095 F
1.816 1.048 11.187 F
1.284 0.741 16.294 F
1.816 -1.048 19.202 F
0.000 2.096 19.202 F
```

***

[8]
Calculated PXRD pattern
Compound: Cs2NaAlF6
Radiation: CuKα
Structure: a structure optimized by DFT (GGA-PBE)
Intensities are scaled so that the largest is 100.

Most intense lines, 2θ from 10° to 90°, by angle:
| 2theta | d/Å | I/Imax |
| --- | --- | --- |
| 20.30 | 4.375 | 39 |
| 28.86 | 3.094 | 100 |
| 35.54 | 2.526 | 48 |
| 41.27 | 2.188 | 40 |
| 46.41 | 1.957 | 23 |
| 51.14 | 1.786 | 36 |
| 59.79 | 1.547 | 23 |
| 63.82 | 1.458 | 12 |
| 67.73 | 1.384 | 21 |
| 71.52 | 1.319 | 14 |
| 75.24 | 1.263 | 7 |
| 82.49 | 1.169 | 22 |

Crystal structure
```
Cs2NaAlF6
1.0
0.000 4.375 4.375
4.375 0.000 4.375
4.375 4.375 0.000
Cs Na Al F
2 1 1 6
Cartesian
2.188 2.188 2.188 Cs
6.563 6.563 6.563 Cs
0.000 0.000 0.000 Na
4.375 4.375 4.375 Al
4.375 4.375 2.513 F
4.375 2.513 4.375 F
6.237 4.375 4.375 F
2.513 4.375 4.375 F
4.375 6.237 4.375 F
4.375 4.375 6.237 F
```

***

[9]
Calculated PXRD pattern
Compound: Cs2NaAl3F12
Radiation: CuKα
Structure: a structure optimized by DFT (GGA-PBE)
Intensities are scaled so that the largest is 100.

Most intense lines, 2θ from 10° to 90°, by angle:
| 2theta | d/Å | I/Imax |
| --- | --- | --- |
| 23.98 | 3.710 | 84 |
| 24.92 | 3.573 | 50 |
| 28.05 | 3.181 | 49 |
| 28.86 | 3.093 | 100 |
| 29.26 | 3.052 | 70 |
| 34.86 | 2.574 | 47 |
| 37.87 | 2.376 | 34 |
| 38.81 | 2.321 | 26 |
| 43.93 | 2.061 | 25 |
| 46.41 | 1.957 | 34 |
| 51.14 | 1.786 | 48 |
| 55.84 | 1.646 | 29 |

Crystal structure
```
Cs2NaAl3F12
1.0
3.573 2.063 6.181
-3.573 2.063 6.181
0.000 -4.126 6.181
Cs Na Al F
2 1 3 12
Cartesian
0.000 0.000 2.281 Cs
0.000 0.000 16.263 Cs
0.000 0.000 9.272 Na
-1.786 -1.031 6.181 Al
-1.786 1.031 12.363 Al
0.000 2.063 6.181 Al
-1.670 -0.964 7.955 F
0.000 -1.545 6.078 F
-1.338 0.773 6.078 F
0.000 -1.928 10.589 F
-1.670 0.964 10.589 F
-1.338 -0.773 12.466 F
1.338 0.773 6.078 F
1.670 -0.964 7.955 F
0.000 1.928 7.955 F
1.338 -0.773 12.466 F
0.000 1.545 12.466 F
1.670 0.964 10.589 F
```

***

[10]
Calculated PXRD pattern
Compound: CsRb2AlF6
Radiation: CuKα
Structure: a structure optimized by DFT (GGA-PBE)
Intensities are scaled so that the largest is 100.

Most intense lines, 2θ from 10° to 90°, by angle:
| 2theta | d/Å | I/Imax |
| --- | --- | --- |
| 16.52 | 5.365 | 8 |
| 27.14 | 3.285 | 100 |
| 31.94 | 2.802 | 17 |
| 33.41 | 2.682 | 5 |
| 38.76 | 2.323 | 35 |
| 42.40 | 2.132 | 15 |
| 47.96 | 1.897 | 34 |
| 55.98 | 1.643 | 20 |
| 63.30 | 1.469 | 23 |
| 70.17 | 1.341 | 6 |
| 76.76 | 1.242 | 23 |
| 89.50 | 1.095 | 11 |

Crystal structure
```
CsRb2AlF6
1.0
0.000 4.646 4.646
4.646 0.000 4.646
4.646 4.646 0.000
Cs Rb Al F
1 2 1 6
Cartesian
0.000 0.000 0.000 Cs
2.323 2.323 2.323 Rb
6.969 6.969 6.969 Rb
4.646 4.646 4.646 Al
4.646 4.646 2.805 F
4.646 2.805 4.646 F
6.487 4.646 4.646 F
2.805 4.646 4.646 F
4.646 6.487 4.646 F
4.646 4.646 6.487 F
```

***

[11]
Calculated PXRD pattern
Compound: Cs2AlGaH6
Radiation: CuKα
Structure: a structure optimized by DFT (GGA-PBE)
Intensities are scaled so that the largest is 100.

Most intense lines, 2θ from 10° to 90°, by angle:
| 2theta | d/Å | I/Imax |
| --- | --- | --- |
| 20.49 | 4.334 | 22 |
| 29.14 | 3.065 | 100 |
| 35.89 | 2.502 | 8 |
| 41.68 | 2.167 | 19 |
| 46.87 | 1.938 | 10 |
| 51.66 | 1.770 | 39 |
| 60.41 | 1.532 | 13 |
| 64.50 | 1.445 | 5 |
| 68.45 | 1.371 | 17 |
| 72.30 | 1.307 | 3 |
| 76.07 | 1.251 | 4 |
| 83.44 | 1.158 | 20 |

Crystal structure
```
Cs2AlGaH6
1.0
0.000 4.334 4.334
4.334 0.000 4.334
4.334 4.334 0.000
Cs Al Ga H
2 1 1 6
Cartesian
2.167 2.167 2.167 Cs
6.502 6.502 6.502 Cs
0.000 0.000 0.000 Al
4.334 4.334 4.334 Ga
4.334 4.334 1.801 H
4.334 1.801 4.334 H
6.867 4.334 4.334 H
1.801 4.334 4.334 H
4.334 6.867 4.334 H
4.334 4.334 6.867 H
```

***

[12]
Calculated PXRD pattern
Compound: Cs3AlGe2O7
Radiation: CuKα
Structure: a structure optimized by DFT (GGA-PBE)
Intensities are scaled so that the largest is 100.

Most intense lines, 2θ from 10° to 90°, by angle:
| 2theta | d/Å | I/Imax |
| --- | --- | --- |
| 23.57 | 3.774 | 20 |
| 24.86 | 3.581 | 100 |
| 25.74 | 3.462 | 45 |
| 27.33 | 3.263 | 31 |
| 27.87 | 3.201 | 28 |
| 28.49 | 3.133 | 20 |
| 28.72 | 3.108 | 53 |
| 29.06 | 3.072 | 14 |
| 33.89 | 2.645 | 21 |
| 35.80 | 2.508 | 23 |
| 37.70 | 2.386 | 15 |
| 48.59 | 1.874 | 14 |

Crystal structure
```
Cs3AlGe2O7
1.0
4.892 -8.767 0.000
4.892 8.767 0.000
-4.636 0.000 6.216
Cs Al Ge O
6 2 4 14
Cartesian
1.414 8.567 4.662 Cs
-1.318 3.434 4.525 Cs
1.000 -3.434 1.417 Cs
4.147 3.434 4.799 Cs
6.465 -3.434 1.691 Cs
3.733 -8.567 1.554 Cs
1.414 1.011 4.662 Al
3.733 -1.011 1.554 Al
2.096 1.739 1.628 Ge
-0.222 -1.739 4.736 Ge
5.370 1.739 1.480 Ge
3.051 -1.739 4.588 Ge
1.080 2.396 0.396 O
-1.238 -2.396 3.504 O
1.483 2.116 3.267 O
-0.058 0.030 4.550 O
2.260 -0.030 1.442 O
3.733 2.544 1.554 O
1.346 2.116 6.057 O
3.801 -2.116 0.159 O
1.414 -2.544 4.662 O
2.887 0.030 4.774 O
5.205 -0.030 1.666 O
3.664 -2.116 2.949 O
6.385 2.396 2.712 O
4.067 -2.396 5.820 O
```

***

What did the third record say?
Calculated PXRD pattern
Compound: Cs2AlInF6
Radiation: CuKα
Structure: a structure optimized by DFT (GGA-PBE)
Intensities are scaled so that the largest is 100.

Most intense lines, 2θ from 10° to 90°, by angle:
| 2theta | d/Å | I/Imax |
| --- | --- | --- |
| 16.75 | 5.292 | 4 |
| 19.37 | 4.583 | 3 |
| 27.53 | 3.241 | 100 |
| 32.40 | 2.764 | 9 |
| 33.88 | 2.646 | 12 |
| 39.32 | 2.291 | 33 |
| 43.02 | 2.103 | 8 |
| 48.67 | 1.871 | 36 |
| 56.82 | 1.620 | 19 |
| 64.28 | 1.449 | 21 |
| 71.29 | 1.323 | 6 |
| 78.02 | 1.225 | 22 |

Crystal structure
```
Cs2AlInF6
1.0
0.000 4.583 4.583
4.583 0.000 4.583
4.583 4.583 0.000
Cs Al In F
2 1 1 6
Cartesian
2.291 2.291 2.291 Cs
6.874 6.874 6.874 Cs
0.000 0.000 0.000 Al
4.583 4.583 4.583 In
4.583 4.583 1.853 F
4.583 1.853 4.583 F
7.313 4.583 4.583 F
1.853 4.583 4.583 F
4.583 7.313 4.583 F
4.583 4.583 7.313 F
```